This entry pairs a crystal structure of Cd3Ga2 with its calculated X-ray powder pattern. Radiation: copper Kα. Structure: a DFT-relaxed cell (PBE, OQMD).
Kinematic intensities with the Lorentz-polarization factor, no thermal factor.

Peak list (8 most intense, 2θ from 10° to 90°, sorted by position)
two_theta	I (rel.)	index
32.5	50.6	2 0 1
34.9	100.0	2 1 1
35.3	13.2	2 2 0
39.6	40.7	3 1 0
42.1	24.2	0 0 2
57.0	13.8	4 1 1
59.2	23.9	3 1 2
72.3	11.1	2 1 3

```
data_Cd3Ga2
_cell_length_a 7.190
_cell_length_b 7.190
_cell_length_c 4.291
_cell_angle_alpha 90.00
_cell_angle_beta 90.00
_cell_angle_gamma 90.00
_space_group_name_H-M_alt 'P 4/m b m'
_space_group_IT_number 127
_space_group_name_Hall '-P 4 2ab'
loop_
_atom_site_label
_atom_site_fract_x
_atom_site_fract_y
_atom_site_fract_z
Cd1 0.000 0.000 0.000
Cd2 0.177 0.323 0.500
Ga1 0.129 0.629 0.000
```